This entry pairs a crystal structure of LiBr2 with its computed PXRD pattern. Radiation: Cu Kα. Structure: DFT lattice parameters and positions (GGA-PBE).
Lines closer than 0.1° are merged.

Cell and atoms:
Cell lengths 9.183, 3.948, 11.030 Å; angles 90.00, 92.05, 90.00 degrees
Fractional positions:
Li1 0.000 0.000 0.000
Li2 0.227 0.500 0.816
Li3 0.500 0.500 0.000
Li4 0.727 0.000 0.816
Br1 0.039 0.000 0.773
Br2 0.102 0.500 0.413
Br3 0.320 0.000 0.024
Br4 0.345 0.000 0.422
Br5 0.539 0.500 0.773
Br6 0.602 0.000 0.413
Br7 0.820 0.500 0.024
Br8 0.845 0.500 0.422

Principal peaks in the range 15 to 90 degrees two-theta, by angle:
| d [Å] | I_rel | (hkl) |
| --- | --- | --- |
| 5.512 | 77 | 0 0 2 |
| 4.184 | 25 | 2 0 1 |
| 3.674 | 79 | 0 0 3 |
| 3.627 | 31 | 1 1 0 |
| 3.590 | 29 | 2 0 -2 |
| 3.461 | 100 | 1 1 -1 |
| 3.049 | 29 | 1 1 -2 |
| 3.010 | 56 | 1 1 2 |
| 2.418 | 43 | 3 1 0 |
| 2.206 | 27 | 0 0 5 |